This entry pairs a crystal structure of Ni2GeBiO6 with its calculated powder diffraction line list. Radiation: Cu Ka. Structure: a structure optimized by DFT (PBE+U).

Top 6 peaks for 15° ≤ 2θ ≤ 90°, most intense first:
2θ = 31.96°, 2.801 Å, I = 100, (1 0 4); 2θ = 34.02°, 2.635 Å, I = 91, (1 1 0); 2θ = 23.17°, 3.838 Å, I = 61, (0 1 2); 2θ = 51.96°, 1.760 Å, I = 46, (2 -1 6); 2θ = 47.37°, 1.919 Å, I = 38, (0 2 4); 2θ = 59.60°, 1.551 Å, I = 37, (3 -1 4)

```
data_Ni2GeBiO6
_space_group_name_H-M_alt 'R 3'
_space_group_IT_number 146
_space_group_name_Hall 'R 3'
_cell_length_a 5.2700
_cell_length_b 5.2700
_cell_length_c 14.1881
_cell_angle_alpha 90.00
_cell_angle_beta 90.00
_cell_angle_gamma 120.00
loop_
_atom_site_label
_atom_site_type_symbol
_atom_site_fract_x
_atom_site_fract_y
_atom_site_fract_z
_atom_site_occupancy
Ni1 Ni 0.0000 0.0000 0.0000 1
Ni2 Ni 0.0000 0.0000 0.4921 1
Ge1 Ge 0.0000 0.0000 0.6977 1
Bi1 Bi 0.0000 0.0000 0.2079 1
O1 O 0.0007 0.3526 0.4246 1
O2 O 0.0272 0.7342 0.6026 1
```